For Li4V5O9F, a cell relaxed with GGA+U gives the theoretical PXRD pattern in this record (copper Kα).

Principal peaks in the range 10° ≤ 2θ ≤ 90°, low angle first:
- 18.05°, rel. 100, (0 1 -1)
- 34.71°, rel. 25, (-1 1 2)
- 35.21°, rel. 13, (2 0 -1)
- 36.54°, rel. 8, (0 2 -2)
- 42.01°, rel. 27, (1 -1 3)
- 42.15°, rel. 27, (-1 2 1)
- 43.05°, rel. 26, (2 1 -2)
- 61.66°, rel. 14, (-3 1 3)

Lattice parameters (Å, degrees): 5.198 5.231 7.988 108.79 101.67 100.79
Sites, in units of the cell vectors:
Li  0.000  0.000  0.000
Li  0.185  0.421  0.409
Li  0.413  0.815  0.828
Li  0.789  0.596  0.601
V  0.109  0.203  0.709
V  0.309  0.593  0.108
V  0.508  0.011  0.517
V  0.711  0.398  0.916
V  0.887  0.800  0.310
O  0.065  0.589  0.872
O  0.148  0.818  0.545
O  0.346  0.214  0.944
O  0.462  0.385  0.665
O  0.536  0.638  0.361
O  0.659  0.770  0.063
O  0.757  0.023  0.761
O  0.859  0.182  0.472
O  0.970  0.440  0.163
F  0.245  0.002  0.263